(1)
# Ba2SF2
Simulated powder diffractogram, a wavelength of 1.5418 Å. Input: the GGA-PBE geometry in Alexandria.

```
Ba2SF2
1.0
0.0000 5.3872 5.5117
4.4241 0.0000 5.5117
4.4241 5.3872 0.0000
Ba S F
4 2 4
direct
0.0964 0.0964 0.6536
0.3464 0.3464 0.9036
0.6536 0.6536 0.0964
0.9036 0.9036 0.3464
0.3750 0.3750 0.3750
0.6250 0.6250 0.6250
0.0026 0.7474 0.0026
0.2526 0.9974 0.2526
0.7474 0.0026 0.7474
0.9974 0.2526 0.9974
```

Top 10 peaks for 10 to 80 degrees two-theta, in order of falling intensity:
two_theta, I_rel
26.06, 100
23.09, 69
42.58, 38
25.82, 34
42.11, 32
32.49, 25
47.39, 21
33.26, 20
27.56, 20
65.55, 20

---

(2)
# Ac2HfP3Rh12
Simulated powder diffractogram, a wavelength of 1.5418 Å. Input: the GGA-PBE geometry in Alexandria.

```
Ac2HfP3Rh12
1.0
4.2607 2.4599 5.3379
-4.2607 2.4599 5.3379
0.0000 -4.9199 5.3379
Ac Hf P Rh
2 1 3 12
direct
0.1075 0.1075 0.1075
0.8925 0.8925 0.8925
0.5000 0.5000 0.5000
0.0000 0.5000 0.5000
0.5000 0.0000 0.5000
0.5000 0.5000 0.0000
0.1291 0.6405 0.6405
0.1791 0.1791 0.5920
0.1791 0.5920 0.1791
0.3595 0.3595 0.8709
0.3595 0.8709 0.3595
0.4080 0.8209 0.8209
0.5920 0.1791 0.1791
0.6405 0.1291 0.6405
0.6405 0.6405 0.1291
0.8209 0.4080 0.8209
0.8209 0.8209 0.4080
0.8709 0.3595 0.3595
```

Top 10 peaks for 10 to 80 degrees two-theta, in order of falling intensity:
two_theta, I_rel
42.43, 100
33.01, 94
34.04, 47
30.42, 38
26.77, 30
37.17, 29
51.97, 28
62.00, 19
40.37, 18
24.76, 16